Computed XRD peak list
Compound: BaSrNdWO6
Radiation: λ = 1.5418 Å (Cu Kα)
Structure: a DFT-relaxed cell (GGA+U, the Materials Project)
Intensities are scaled so that the largest is 100.

Atomic structure:
Cell: 6.068 6.077 8.539 Å, 90.12 90.81 90.10°
Space group P-1 (No. 2)
Symmetry-distinct sites (fractional):
Ba: 0.007 0.027 0.249 [2 per cell]
Sr: 0.493 0.534 0.253 [2 per cell]
Nd: 0.000 0.500 0.500 [1 per cell]
Nd: 0.500 0.000 0.000 [1 per cell]
W: 0.000 0.500 0.000 [1 per cell]
W: 0.500 0.000 0.500 [1 per cell]
O: 0.087 0.498 0.773 [2 per cell]
O: 0.204 0.760 0.043 [2 per cell]
O: 0.236 0.804 0.474 [2 per cell]
O: 0.263 0.303 0.046 [2 per cell]
O: 0.308 0.274 0.454 [2 per cell]
O: 0.432 0.031 0.729 [2 per cell]

Top 10 peaks for 10 to 90 degrees two-theta, by intensity:
index  d/Å  2theta  Rel. int.
-1 1 2  3.040  29.39  100
1 -1 2  3.013  29.65  50
2 2 0  2.147  42.09  26
2 0 -4  1.759  52.00  17
0 0 4  2.135  42.34  13
3 -1 2  1.742  52.54  12
0 2 -4  1.750  52.28  10
0 2 4  1.746  52.40  10
1 3 -2  1.755  52.11  9
1 1 0  4.294  20.69  9

Computed XRD peak list
Compound: V3O5F3
Radiation: λ = 1.5418 Å (Cu Kα)
Structure: a DFT-relaxed cell (GGA+U, the Materials Project)
Intensities are scaled so that the largest is 100.

Atomic structure:
Cell: 9.083 11.347 5.016 Å, 90.00 90.58 90.00°
Space group Cc (No. 9)
Symmetry-distinct sites (fractional):
V: 0.000 0.080 0.000 [4 per cell]
V: 0.011 0.411 0.433 [4 per cell]
V: 0.250 0.320 0.946 [4 per cell]
O: 0.114 0.432 0.119 [4 per cell]
O: 0.118 0.194 0.068 [4 per cell]
O: 0.133 0.332 0.629 [4 per cell]
O: 0.383 0.195 0.847 [4 per cell]
O: 0.384 0.437 0.819 [4 per cell]
F: 0.110 0.046 0.665 [4 per cell]
F: 0.359 0.322 0.289 [4 per cell]
F: 0.397 0.042 0.251 [4 per cell]

Top 10 peaks for 10 to 90 degrees two-theta, by intensity:
index  d/Å  2theta  Rel. int.
2 2 0  3.545  25.12  100
2 2 -1  2.906  30.77  97
2 2 1  2.884  31.00  97
1 1 1  4.080  21.79  59
4 0 2  1.675  54.80  54
2 4 1  2.165  41.73  52
1 3 0  3.492  25.51  50
4 4 1  1.667  55.08  49
0 2 1  3.758  23.68  47
1 1 0  7.091  12.48  46

Computed XRD peak list
Compound: Li9V4P6O24
Radiation: λ = 1.5418 Å (Cu Kα)
Structure: a DFT-relaxed cell (GGA+U, the Materials Project)
Intensities are scaled so that the largest is 100.

Atomic structure:
Cell: 8.487 8.496 9.299 Å, 63.04 62.98 60.08°
Space group P1 (No. 1)
Symmetry-distinct sites (fractional):
Li: 0.000 0.000 0.000 [1 per cell]
Li: 0.024 0.445 0.765 [1 per cell]
Li: 0.093 0.634 0.930 [1 per cell]
Li: 0.250 0.472 0.459 [1 per cell]
Li: 0.285 0.881 0.214 [1 per cell]
Li: 0.479 0.815 0.493 [1 per cell]
Li: 0.626 0.270 0.220 [1 per cell]
Li: 0.829 0.198 0.499 [1 per cell]
Li: 0.857 0.607 0.248 [1 per cell]
V: 0.209 0.195 0.396 [1 per cell]
V: 0.428 0.380 0.786 [1 per cell]
V: 0.685 0.704 0.914 [1 per cell]
V: 0.896 0.884 0.325 [1 per cell]
P: 0.001 0.295 0.107 [1 per cell]
P: 0.110 0.788 0.596 [1 per cell]
P: 0.303 0.590 0.098 [1 per cell]
P: 0.511 0.091 0.599 [1 per cell]
P: 0.603 0.994 0.103 [1 per cell]
P: 0.808 0.497 0.605 [1 per cell]
O: 0.027 0.385 0.560 [1 per cell]
O: 0.051 0.080 0.142 [1 per cell]
O: 0.060 0.001 0.552 [1 per cell]
O: 0.082 0.716 0.134 [1 per cell]
O: 0.117 0.743 0.446 [1 per cell]
O: 0.146 0.364 0.941 [1 per cell]
O: 0.308 0.669 0.627 [1 per cell]
O: 0.343 0.408 0.251 [1 per cell]
O: 0.357 0.540 0.939 [1 per cell]
O: 0.395 0.042 0.549 [1 per cell]
O: 0.395 0.296 0.621 [1 per cell]
O: 0.410 0.706 0.076 [1 per cell]
O: 0.420 0.985 0.256 [1 per cell]
O: 0.556 0.138 0.942 [1 per cell]
O: 0.557 0.948 0.762 [1 per cell]
O: 0.698 0.101 0.449 [1 per cell]
O: 0.703 0.380 0.626 [1 per cell]
O: 0.717 0.789 0.081 [1 per cell]
O: 0.732 0.041 0.145 [1 per cell]
O: 0.751 0.544 0.766 [1 per cell]
O: 0.759 0.682 0.454 [1 per cell]
O: 0.801 0.412 0.079 [1 per cell]
O: 0.964 0.718 0.761 [1 per cell]
O: 0.998 0.333 0.258 [1 per cell]

Top 10 peaks for 10 to 90 degrees two-theta, by intensity:
index  d/Å  2theta  Rel. int.
2 1 0  3.743  23.77  100
0 1 -1  4.622  19.20  57
1 1 0  6.255  14.16  53
1 -1 2  2.899  30.85  46
0 2 2  3.127  28.54  37
1 2 3  2.892  30.93  23
3 0 1  2.452  36.65  21
0 3 2  2.343  38.41  17
1 3 1  2.761  32.42  17
1 -2 3  1.808  50.46  11

Computed XRD peak list
Compound: Sr3MgMn2S2O5
Radiation: λ = 1.5418 Å (Cu Kα)
Structure: a DFT-relaxed cell (GGA+U, the Materials Project)
Intensities are scaled so that the largest is 100.

Atomic structure:
Cell: 3.934 3.934 27.712 Å, 90.00 90.00 90.00°
Space group I-4m2 (No. 119)
Symmetry-distinct sites (fractional):
Sr: 0.000 0.000 0.000 [2 per cell]
Sr: 0.000 0.000 0.138 [4 per cell]
Mg: 0.000 0.500 0.750 [2 per cell]
Mn: 0.000 0.000 0.428 [4 per cell]
S: 0.000 0.000 0.306 [4 per cell]
O: 0.000 0.000 0.500 [2 per cell]
O: 0.000 0.500 0.080 [4 per cell]
O: 0.000 0.500 0.580 [4 per cell]

Top 10 peaks for 10 to 90 degrees two-theta, by intensity:
index  d/Å  2theta  Rel. int.
1 0 7  2.790  32.08  100
1 1 0  2.782  32.18  42
2 1 7  1.608  57.31  36
2 0 0  1.967  46.15  33
1 1 6  2.383  37.75  18
3 0 7  1.244  76.56  14
1 1 14  1.613  57.11  14
2 0 14  1.395  67.08  10
2 2 0  1.391  67.33  10
1 0 9  2.425  37.08  10

Computed XRD peak list
Compound: V4CrCoO12
Radiation: λ = 1.5418 Å (Cu Kα)
Structure: a DFT-relaxed cell (GGA+U, the Materials Project)
Intensities are scaled so that the largest is 100.

Atomic structure:
Cell: 10.002 9.083 5.812 Å, 90.00 110.08 90.00°
Space group C2 (No. 5)
Symmetry-distinct sites (fractional):
V: 0.200 0.000 0.484 [4 per cell]
V: 0.205 0.812 0.993 [4 per cell]
Cr: 0.000 0.324 0.500 [2 per cell]
Co: 0.000 0.492 0.000 [2 per cell]
O: 0.108 0.328 0.870 [4 per cell]
O: 0.115 0.486 0.404 [4 per cell]
O: 0.133 0.913 0.195 [4 per cell]
O: 0.140 0.178 0.463 [4 per cell]
O: 0.141 0.902 0.693 [4 per cell]
O: 0.142 0.639 0.967 [4 per cell]

Top 10 peaks for 10 to 90 degrees two-theta, by intensity:
index  d/Å  2theta  Rel. int.
2 2 -1  3.153  28.31  100
3 1 0  2.960  30.19  63
0 2 0  4.542  19.55  47
0 0 2  2.729  32.81  44
1 1 -1  4.788  18.53  40
1 1 1  3.769  23.61  29
2 2 1  2.547  35.24  26
1 1 0  6.530  13.56  23
2 4 -1  2.016  44.96  23
3 1 2  1.745  52.44  20

Computed XRD peak list
Compound: KSrSmMnO6
Radiation: λ = 1.5418 Å (Cu Kα)
Structure: a DFT-relaxed cell (GGA+U, the Materials Project)
Intensities are scaled so that the largest is 100.

Atomic structure:
Cell: 8.372 8.372 8.372 Å, 90.00 90.00 90.00°
Space group F-43m (No. 216)
Symmetry-distinct sites (fractional):
K: 0.000 0.000 0.000 [4 per cell]
Sr: 0.000 0.000 0.500 [4 per cell]
Sm: 0.250 0.250 0.750 [4 per cell]
Mn: 0.250 0.250 0.250 [4 per cell]
O: 0.022 0.250 0.250 [24 per cell]

Top 10 peaks for 10 to 90 degrees two-theta, by intensity:
index  d/Å  2theta  Rel. int.
2 2 0  2.960  30.19  100
4 2 2  1.709  53.63  38
4 0 0  2.093  43.22  36
4 4 0  1.480  62.78  21
6 4 2  1.119  87.11  21
1 1 1  4.834  18.35  19
6 2 0  1.324  71.23  18
2 0 0  4.186  21.22  17
3 1 1  2.524  35.56  17
3 3 1  1.921  47.33  10

Computed XRD peak list
Compound: BaSr7MnFe7O24
Radiation: λ = 1.5418 Å (Cu Kα)
Structure: a DFT-relaxed cell (GGA+U, the Materials Project)
Intensities are scaled so that the largest is 100.

Atomic structure:
Cell: 11.1090 11.1090 13.6039 Å, 90.00 90.00 120.00°
Space group R3m (No. 160, hexagonal axes)
Symmetry-distinct sites (fractional):
Ba: 0.0000 0.0000 0.0000 [3 per cell]
Sr: 0.0000 0.0000 0.5005 [3 per cell]
Sr: 0.9996 0.4998 0.0004 [9 per cell]
Sr: 0.0004 0.5002 0.5002 [9 per cell]
Mn: 0.0000 0.0000 0.7494 [3 per cell]
Fe: 0.0000 0.0000 0.2512 [3 per cell]
Fe: 0.0012 0.5006 0.2501 [9 per cell]
Fe: 0.1673 0.3347 0.0840 [9 per cell]
O: 0.0012 0.2544 0.0009 [18 per cell]
O: 0.0816 0.1632 0.6680 [9 per cell]
O: 0.0848 0.1695 0.1694 [9 per cell]
O: 0.0847 0.4170 0.1665 [18 per cell]
O: 0.1663 0.0831 0.3344 [9 per cell]
O: 0.1661 0.0830 0.8294 [9 per cell]

Top 10 peaks for 10 to 90 degrees two-theta, by intensity:
index  d/Å  2theta  Rel. int.
2 2 0  2.777  32.23  100
4 0 4  1.964  46.23  38
6 0 0  1.603  57.48  38
4 4 0  1.389  67.45  22
6 2 4  1.242  76.74  16
0 4 2  2.268  39.75  14
0 8 4  1.134  85.68  7
8 0 2  1.184  81.24  4
2 0 2  3.927  22.64  2
4 2 2  1.756  52.07  1

Computed XRD peak list
Compound: LiV6O7F5
Radiation: λ = 1.5418 Å (Cu Kα)
Structure: a DFT-relaxed cell (GGA+U, the Materials Project)
Intensities are scaled so that the largest is 100.

Atomic structure:
Cell: 5.666 5.687 7.543 Å, 71.75 71.73 71.73°
Space group P1 (No. 1)
Symmetry-distinct sites (fractional):
Li: 0.000 0.000 0.000 [1 per cell]
V: 0.075 0.574 0.878 [1 per cell]
V: 0.123 0.636 0.398 [1 per cell]
V: 0.428 0.943 0.570 [1 per cell]
V: 0.443 0.935 0.072 [1 per cell]
V: 0.723 0.261 0.742 [1 per cell]
V: 0.760 0.288 0.246 [1 per cell]
O: 0.072 0.987 0.228 [1 per cell]
O: 0.208 0.717 0.597 [1 per cell]
O: 0.381 0.290 0.902 [1 per cell]
O: 0.472 0.586 0.238 [1 per cell]
O: 0.652 0.164 0.535 [1 per cell]
O: 0.796 0.891 0.906 [1 per cell]
O: 0.850 0.353 0.938 [1 per cell]
F: 0.001 0.520 0.204 [1 per cell]
F: 0.119 0.248 0.569 [1 per cell]
F: 0.321 0.831 0.870 [1 per cell]
F: 0.534 0.046 0.274 [1 per cell]
F: 0.734 0.639 0.564 [1 per cell]

Top 10 peaks for 10 to 90 degrees two-theta, by intensity:
index  d/Å  2theta  Rel. int.
1 -1 0  3.326  26.81  100
1 1 2  3.414  26.10  95
0 1 -2  2.623  34.18  54
1 0 4  1.783  51.25  32
-2 1 2  1.749  52.31  30
2 -1 4  1.421  65.73  23
1 2 0  2.607  34.40  23
2 1 0  2.599  34.51  22
2 -2 0  1.663  55.24  20
2 2 4  1.707  53.69  18

Computed XRD peak list
Compound: Zn3Co4Sb2O12
Radiation: λ = 1.5418 Å (Cu Kα)
Structure: a DFT-relaxed cell (GGA+U, the Materials Project)
Intensities are scaled so that the largest is 100.

Atomic structure:
Cell: 6.230 8.683 10.497 Å, 113.51 105.99 92.34°
Space group P-1 (No. 2)
Symmetry-distinct sites (fractional):
Zn: 0.055 0.454 0.165 [2 per cell]
Zn: 0.278 0.859 0.503 [2 per cell]
Zn: 0.382 0.799 0.820 [2 per cell]
Co: 0.000 0.000 0.000 [1 per cell]
Co: 0.159 0.152 0.824 [2 per cell]
Co: 0.167 0.170 0.334 [2 per cell]
Co: 0.328 0.326 0.655 [2 per cell]
Co: 0.500 0.500 0.500 [1 per cell]
Sb: 0.000 0.500 0.500 [1 per cell]
Sb: 0.333 0.842 0.173 [2 per cell]
Sb: 0.500 0.500 0.000 [1 per cell]
O: 0.002 0.267 0.498 [2 per cell]
O: 0.026 0.761 0.021 [2 per cell]
O: 0.135 0.927 0.833 [2 per cell]
O: 0.159 0.423 0.346 [2 per cell]
O: 0.176 0.910 0.324 [2 per cell]
O: 0.205 0.409 0.840 [2 per cell]
O: 0.309 0.569 0.653 [2 per cell]
O: 0.332 0.066 0.163 [2 per cell]
O: 0.341 0.590 0.157 [2 per cell]
O: 0.356 0.096 0.682 [2 per cell]
O: 0.469 0.263 0.497 [2 per cell]
O: 0.493 0.741 0.011 [2 per cell]

Top 10 peaks for 10 to 90 degrees two-theta, by intensity:
index  d/Å  2theta  Rel. int.
1 -1 3  2.619  34.23  100
0 1 -2  4.971  17.84  72
0 3 0  2.612  34.33  57
-2 4 2  1.558  59.33  57
1 -3 1  2.667  33.60  43
1 2 0  3.039  29.39  34
2 1 -3  2.605  34.43  34
-2 1 2  2.664  33.65  26
1 2 -3  3.022  29.56  25
2 -2 0  2.579  34.78  23